Entry 1:
This entry pairs a crystal structure of LaTb6Dy3 with its simulated powder XRD pattern. Radiation: Cu Ka. Structure: a crystal structure in Alexandria, relaxed with PBE.
Intensities are scaled so that the largest is 100.

Largest 12 diffraction maxima, low angle first, 2θ from 15° to 90°:
2θ (°)  I_rel
27.93  26
28.56  76
28.77  19
30.28  33
31.50  78
31.66  100
33.08  25
34.44  51
35.66  19
50.86  25
58.10  19
59.79  18

Cell and atoms:
Unit cell a=11.020 b=11.020 c=6.206 alpha=90.00 beta=90.00 gamma=119.59
Fractional positions:
La1 0.204 0.796 0.500
La2 0.796 0.204 0.000
Tb1 0.040 0.461 0.727
Tb2 0.045 0.955 0.271
Tb3 0.284 0.716 0.994
Tb4 0.289 0.380 0.891
Tb5 0.380 0.289 0.391
Tb6 0.461 0.040 0.227
Tb7 0.539 0.960 0.727
Tb8 0.620 0.711 0.891
Tb9 0.711 0.620 0.391
Tb10 0.716 0.284 0.494
Tb11 0.955 0.045 0.771
Tb12 0.960 0.539 0.227
Dy1 0.064 0.284 0.320
Dy2 0.284 0.064 0.820
Dy3 0.389 0.611 0.432
Dy4 0.611 0.389 0.932
Dy5 0.716 0.936 0.320
Dy6 0.936 0.716 0.820


Entry 2:
This entry pairs a crystal structure of CdHg6Pb8 with its simulated powder XRD pattern. Radiation: Cu Ka. Structure: a crystal structure in Alexandria, relaxed with PBE.
Intensities are scaled so that the largest is 100.

Largest 12 diffraction maxima, low angle first, 2θ from 15° to 90°:
2θ (°)  I_rel
29.49  53
29.59  20
31.28  95
31.87  25
32.40  100
32.75  71
34.47  21
35.41  55
38.87  30
40.70  22
54.46  16
56.14  16

Cell and atoms:
Unit cell a=7.062 b=7.353 c=9.171 alpha=94.39 beta=106.43 gamma=104.88
Fractional positions:
Cd1 0.000 0.000 0.000
Hg1 0.099 0.392 0.919
Hg2 0.297 0.037 0.359
Hg3 0.453 0.362 0.187
Hg4 0.547 0.638 0.813
Hg5 0.703 0.963 0.641
Hg6 0.901 0.608 0.081
Pb1 0.137 0.777 0.736
Pb2 0.161 0.224 0.618
Pb3 0.301 0.606 0.421
Pb4 0.433 0.824 0.113
Pb5 0.567 0.176 0.887
Pb6 0.699 0.394 0.579
Pb7 0.839 0.776 0.382
Pb8 0.863 0.223 0.264


Entry 3:
This entry pairs a crystal structure of HoTm2Hf3N6 with its simulated powder XRD pattern. Radiation: Cu Ka. Structure: a crystal structure in Alexandria, relaxed with PBE.
Intensities are scaled so that the largest is 100.

Largest 11 diffraction maxima, low angle first, 2θ from 15° to 90°:
2θ (°)  I_rel
33.01  34
33.35  100
38.60  92
55.51  32
55.95  31
66.12  15
66.52  29
66.72  14
69.25  5
70.03  16
82.75  10

Cell and atoms:
Unit cell a=5.691 b=5.691 c=5.751 alpha=99.53 beta=99.53 gamma=119.94
Fractional positions:
Ho1 0.000 0.000 0.000
Tm1 0.333 0.667 0.000
Tm2 0.667 0.333 0.000
Hf1 0.167 0.833 0.500
Hf2 0.500 0.500 0.500
Hf3 0.833 0.167 0.500
N1 0.090 0.426 0.269
N2 0.246 0.246 0.730
N3 0.426 0.090 0.269
N4 0.574 0.910 0.731
N5 0.754 0.754 0.270
N6 0.910 0.574 0.731


Entry 4:
This entry pairs a crystal structure of Sc3Cu3Sb4 with its simulated powder XRD pattern. Radiation: Cu Ka. Structure: a crystal structure in Alexandria, relaxed with PBE.
Intensities are scaled so that the largest is 100.

Largest 12 diffraction maxima, low angle first, 2θ from 15° to 90°:
2θ (°)  I_rel
23.37  37
30.31  27
36.04  100
43.39  16
47.78  23
49.86  35
63.04  13
64.79  7
68.20  8
71.54  8
74.81  9
89.09  7

Cell and atoms:
Unit cell a=8.076 b=8.076 c=8.076 alpha=109.47 beta=109.47 gamma=109.47
Fractional positions:
Sc1 0.125 0.750 0.875
Sc2 0.250 0.625 0.375
Sc3 0.375 0.250 0.625
Sc4 0.625 0.375 0.250
Sc5 0.750 0.875 0.125
Sc6 0.875 0.125 0.750
Cu1 0.125 0.875 0.250
Cu2 0.250 0.125 0.875
Cu3 0.375 0.625 0.750
Cu4 0.625 0.750 0.375
Cu5 0.750 0.375 0.625
Cu6 0.875 0.250 0.125
Sb1 0.000 0.336 0.500
Sb2 0.000 0.836 0.500
Sb3 0.164 0.164 0.164
Sb4 0.336 0.500 0.000
Sb5 0.500 0.000 0.336
Sb6 0.500 0.000 0.836
Sb7 0.664 0.664 0.664
Sb8 0.836 0.500 0.000


Entry 5:
This entry pairs a crystal structure of Nd3PaPt4 with its simulated powder XRD pattern. Radiation: Cu Ka. Structure: a crystal structure in Alexandria, relaxed with PBE.
Intensities are scaled so that the largest is 100.

Largest 12 diffraction maxima, low angle first, 2θ from 15° to 90°:
2θ (°)  I_rel
30.32  100
43.22  37
43.59  37
53.70  20
54.34  7
63.03  8
71.29  16
71.80  11
71.92  5
79.27  6
79.58  8
80.28  4

Cell and atoms:
Unit cell a=7.253 b=8.371 c=7.167 alpha=90.00 beta=109.57 gamma=90.00
Fractional positions:
Nd1 0.000 0.123 0.250
Nd2 0.000 0.373 0.750
Nd3 0.000 0.627 0.250
Nd4 0.000 0.877 0.750
Nd5 0.500 0.127 0.750
Nd6 0.500 0.873 0.250
Pa1 0.500 0.377 0.250
Pa2 0.500 0.623 0.750
Pt1 0.260 0.136 0.013
Pt2 0.260 0.864 0.513
Pt3 0.267 0.385 0.497
Pt4 0.267 0.615 0.997
Pt5 0.733 0.385 0.003
Pt6 0.733 0.615 0.503
Pt7 0.740 0.136 0.487
Pt8 0.740 0.864 0.987


Entry 6:
This entry pairs a crystal structure of La4Pm2Sb3H2 with its simulated powder XRD pattern. Radiation: Cu Ka. Structure: a crystal structure in Alexandria, relaxed with PBE.
Intensities are scaled so that the largest is 100.

Largest 12 diffraction maxima, low angle first, 2θ from 15° to 90°:
2θ (°)  I_rel
27.08  52
27.37  15
29.61  27
30.35  20
33.45  100
34.41  13
37.37  57
46.94  13
48.88  11
51.70  17
53.88  20
64.92  29

Cell and atoms:
Unit cell a=13.470 b=13.470 c=13.470 alpha=159.42 beta=159.42 gamma=29.27
Fractional positions:
La1 0.084 0.584 0.500
La2 0.416 0.916 0.500
La3 0.584 0.084 0.500
La4 0.916 0.416 0.500
Pm1 0.201 0.201 0.000
Pm2 0.799 0.799 0.000
Sb1 0.323 0.323 0.000
Sb2 0.500 0.500 0.000
Sb3 0.677 0.677 0.000
H1 0.108 0.108 0.000
H2 0.892 0.892 0.000


Entry 7:
This entry pairs a crystal structure of Tb6Tm3Sc with its simulated powder XRD pattern. Radiation: Cu Ka. Structure: a crystal structure in Alexandria, relaxed with PBE.
Intensities are scaled so that the largest is 100.

Largest 12 diffraction maxima, low angle first, 2θ from 15° to 90°:
2θ (°)  I_rel
29.36  77
32.07  100
32.32  12
37.42  11
41.98  14
44.03  25
55.50  25
57.16  19
57.52  19
67.06  11
74.85  10
76.59  8

Cell and atoms:
Unit cell a=6.818 b=6.818 c=6.818 alpha=90.33 beta=90.33 gamma=90.33
Fractional positions:
Tb1 0.002 0.677 0.321
Tb2 0.166 0.508 0.826
Tb3 0.321 0.002 0.677
Tb4 0.508 0.826 0.166
Tb5 0.677 0.321 0.002
Tb6 0.826 0.166 0.508
Tm1 0.147 0.147 0.147
Tm2 0.395 0.395 0.395
Tm3 0.655 0.655 0.655
Sc1 0.897 0.897 0.897


Entry 8:
This entry pairs a crystal structure of Pm2Nd4DyMg with its simulated powder XRD pattern. Radiation: Cu Ka. Structure: a crystal structure in Alexandria, relaxed with PBE.
Intensities are scaled so that the largest is 100.

Largest 12 diffraction maxima, low angle first, 2θ from 15° to 90°:
2θ (°)  I_rel
17.43  4
30.42  100
35.27  51
50.73  36
60.23  14
60.35  28
63.29  12
74.65  4
82.59  12
82.70  6
85.15  5
85.34  11

Cell and atoms:
Unit cell a=5.086 b=5.086 c=10.198 alpha=90.00 beta=90.00 gamma=90.00
Fractional positions:
Pm1 0.000 0.000 0.000
Pm2 0.500 0.500 0.500
Nd1 0.000 0.500 0.247
Nd2 0.000 0.500 0.753
Nd3 0.500 0.000 0.247
Nd4 0.500 0.000 0.753
Dy1 0.000 0.000 0.500
Mg1 0.500 0.500 0.000


Entry 9:
This entry pairs a crystal structure of Ce8SnPd24 with its simulated powder XRD pattern. Radiation: Cu Ka. Structure: a crystal structure in Alexandria, relaxed with PBE.
Intensities are scaled so that the largest is 100.

Largest 12 diffraction maxima, low angle first, 2θ from 15° to 90°:
2θ (°)  I_rel
29.77  7
36.67  100
38.23  10
39.73  4
42.60  55
43.98  7
61.83  30
70.12  4
74.09  28
75.07  5
77.99  9
78.95  5

Cell and atoms:
Unit cell a=8.488 b=8.488 c=8.488 alpha=90.00 beta=90.00 gamma=90.00
Fractional positions:
Ce1 0.247 0.247 0.247
Ce2 0.247 0.247 0.753
Ce3 0.247 0.753 0.247
Ce4 0.247 0.753 0.753
Ce5 0.753 0.247 0.247
Ce6 0.753 0.247 0.753
Ce7 0.753 0.753 0.247
Ce8 0.753 0.753 0.753
Sn1 0.000 0.000 0.000
Pd1 0.000 0.000 0.318
Pd2 0.000 0.000 0.682
Pd3 0.000 0.269 0.500
Pd4 0.000 0.318 0.000
Pd5 0.000 0.500 0.269
Pd6 0.000 0.500 0.731
Pd7 0.000 0.682 0.000
Pd8 0.000 0.731 0.500
Pd9 0.256 0.500 0.500
Pd10 0.269 0.000 0.500
Pd11 0.269 0.500 0.000
Pd12 0.318 0.000 0.000
Pd13 0.500 0.000 0.269
Pd14 0.500 0.000 0.731
Pd15 0.500 0.256 0.500
Pd16 0.500 0.269 0.000
Pd17 0.500 0.500 0.256
Pd18 0.500 0.500 0.744
Pd19 0.500 0.731 0.000
Pd20 0.500 0.744 0.500
Pd21 0.682 0.000 0.000
Pd22 0.731 0.000 0.500
Pd23 0.731 0.500 0.000
Pd24 0.744 0.500 0.500


Entry 10:
This entry pairs a crystal structure of BiSb2Pd with its simulated powder XRD pattern. Radiation: Cu Ka. Structure: a crystal structure in Alexandria, relaxed with PBE.
Intensities are scaled so that the largest is 100.

Largest 12 diffraction maxima, low angle first, 2θ from 15° to 90°:
2θ (°)  I_rel
24.27  32
25.48  35
29.86  45
32.79  100
39.67  26
41.96  73
43.50  16
54.25  24
59.72  18
65.48  13
70.85  21
76.65  12

Cell and atoms:
Unit cell a=7.132 b=7.132 c=7.132 alpha=35.15 beta=35.15 gamma=35.15
Fractional positions:
Bi1 0.000 0.000 0.000
Sb1 0.558 0.558 0.558
Sb2 0.769 0.769 0.769
Pd1 0.160 0.160 0.160


Entry 11:
This entry pairs a crystal structure of Ba2TlPd5Au2 with its simulated powder XRD pattern. Radiation: Cu Ka. Structure: a crystal structure in Alexandria, relaxed with PBE.
Intensities are scaled so that the largest is 100.

Largest 12 diffraction maxima, low angle first, 2θ from 15° to 90°:
2θ (°)  I_rel
19.05  12
27.06  12
32.74  20
34.99  100
35.52  22
36.59  10
38.15  37
38.65  9
41.10  12
44.35  29
58.07  10
75.57  11

Cell and atoms:
Unit cell a=10.419 b=10.419 c=4.084 alpha=90.00 beta=90.00 gamma=90.00
Fractional positions:
Ba1 0.175 0.325 0.000
Ba2 0.325 0.825 0.000
Ba3 0.675 0.175 0.000
Ba4 0.825 0.675 0.000
Tl1 0.000 0.000 0.000
Tl2 0.500 0.500 0.000
Pd1 0.000 0.500 0.500
Pd2 0.058 0.801 0.500
Pd3 0.199 0.058 0.500
Pd4 0.301 0.558 0.500
Pd5 0.442 0.301 0.500
Pd6 0.500 0.000 0.500
Pd7 0.558 0.699 0.500
Pd8 0.699 0.442 0.500
Pd9 0.801 0.942 0.500
Pd10 0.942 0.199 0.500
Au1 0.124 0.624 0.000
Au2 0.376 0.124 0.000
Au3 0.624 0.876 0.000
Au4 0.876 0.376 0.000


Entry 12:
This entry pairs a crystal structure of K2Ge2H5 with its simulated powder XRD pattern. Radiation: Cu Ka. Structure: a crystal structure in Alexandria, relaxed with PBE.
Intensities are scaled so that the largest is 100.

Largest 12 diffraction maxima, low angle first, 2θ from 15° to 90°:
2θ (°)  I_rel
19.89  22
21.20  11
25.70  92
27.56  33
32.08  16
32.40  100
32.56  31
37.83  23
47.44  14
50.75  17
54.08  13
64.91  12

Cell and atoms:
Unit cell a=6.897 b=6.897 c=5.500 alpha=90.18 beta=90.18 gamma=40.34
Fractional positions:
K1 0.000 0.000 0.000
K2 0.745 0.745 0.498
Ge1 0.289 0.289 0.997
Ge2 0.474 0.474 0.500
H1 0.200 0.200 0.209
H2 0.200 0.200 0.785
H3 0.358 0.358 0.498
H4 0.538 0.538 0.267
H5 0.538 0.538 0.735


Please write out number 3 again, unchanged.
This entry pairs a crystal structure of HoTm2Hf3N6 with its simulated powder XRD pattern. Radiation: Cu Ka. Structure: a crystal structure in Alexandria, relaxed with PBE.
Intensities are scaled so that the largest is 100.

Largest 11 diffraction maxima, low angle first, 2θ from 15° to 90°:
2θ (°)  I_rel
33.01  34
33.35  100
38.60  92
55.51  32
55.95  31
66.12  15
66.52  29
66.72  14
69.25  5
70.03  16
82.75  10

Cell and atoms:
Unit cell a=5.691 b=5.691 c=5.751 alpha=99.53 beta=99.53 gamma=119.94
Fractional positions:
Ho1 0.000 0.000 0.000
Tm1 0.333 0.667 0.000
Tm2 0.667 0.333 0.000
Hf1 0.167 0.833 0.500
Hf2 0.500 0.500 0.500
Hf3 0.833 0.167 0.500
N1 0.090 0.426 0.269
N2 0.246 0.246 0.730
N3 0.426 0.090 0.269
N4 0.574 0.910 0.731
N5 0.754 0.754 0.270
N6 0.910 0.574 0.731


Please write out number 4 again, unchanged.
This entry pairs a crystal structure of Sc3Cu3Sb4 with its simulated powder XRD pattern. Radiation: Cu Ka. Structure: a crystal structure in Alexandria, relaxed with PBE.
Intensities are scaled so that the largest is 100.

Largest 12 diffraction maxima, low angle first, 2θ from 15° to 90°:
2θ (°)  I_rel
23.37  37
30.31  27
36.04  100
43.39  16
47.78  23
49.86  35
63.04  13
64.79  7
68.20  8
71.54  8
74.81  9
89.09  7

Cell and atoms:
Unit cell a=8.076 b=8.076 c=8.076 alpha=109.47 beta=109.47 gamma=109.47
Fractional positions:
Sc1 0.125 0.750 0.875
Sc2 0.250 0.625 0.375
Sc3 0.375 0.250 0.625
Sc4 0.625 0.375 0.250
Sc5 0.750 0.875 0.125
Sc6 0.875 0.125 0.750
Cu1 0.125 0.875 0.250
Cu2 0.250 0.125 0.875
Cu3 0.375 0.625 0.750
Cu4 0.625 0.750 0.375
Cu5 0.750 0.375 0.625
Cu6 0.875 0.250 0.125
Sb1 0.000 0.336 0.500
Sb2 0.000 0.836 0.500
Sb3 0.164 0.164 0.164
Sb4 0.336 0.500 0.000
Sb5 0.500 0.000 0.336
Sb6 0.500 0.000 0.836
Sb7 0.664 0.664 0.664
Sb8 0.836 0.500 0.000